No. 1
Calculated powder diffractogram of NdZn8 for Cu Ka, from a DFT-relaxed cell (PBE, OQMD).
No peak broadening, texture or thermal motion is included.

Crystal structure
```
NdZn8
1.0
8.4544 0.0000 0.0000
-4.2272 7.3217 0.0000
0.0000 0.0000 3.1145
Nd Zn
1 8
Direct
0.0000 0.0000 0.0000
0.1740 0.3480 0.5000
0.1740 0.8260 0.5000
0.3333 0.6667 0.5000
0.3480 0.1740 0.5000
0.6520 0.8260 0.5000
0.6667 0.3333 0.5000
0.8260 0.1740 0.5000
0.8260 0.6520 0.5000
```

Top 12 peaks for 10 to 80 degrees two-theta, by angle:
d 7.322, rel. 63.5
d 4.227, rel. 26.8
d 3.661, rel. 17.4
d 3.115, rel. 35.5
d 2.866, rel. 25.7
d 2.767, rel. 29.9
d 2.372, rel. 100.0
d 2.114, rel. 95.8
d 1.749, rel. 35.6
d 1.578, rel. 26.4
d 1.265, rel. 23.9
d 1.254, rel. 32.5

---

No. 2
Calculated powder diffractogram of AgOsI6 for Cu Ka, from a DFT-relaxed cell (PBE, OQMD).
No peak broadening, texture or thermal motion is included.

Crystal structure
```
AgOsI6
1.0
0.0000 5.4488 5.4488
5.4488 0.0000 5.4488
5.4488 5.4488 0.0000
Ag Os I
1 1 6
Direct
0.0000 0.0000 0.0000
0.2500 0.2500 0.2500
0.0046 0.0046 0.4954
0.0046 0.4954 0.0046
0.0046 0.4954 0.4954
0.4954 0.0046 0.0046
0.4954 0.0046 0.4954
0.4954 0.4954 0.0046
```

Top 12 peaks for 10 to 80 degrees two-theta, by angle:
d 6.292, rel. 51.4
d 5.449, rel. 53.5
d 3.286, rel. 26.6
d 3.146, rel. 82.5
d 2.724, rel. 100.0
d 2.437, rel. 27.7
d 1.926, rel. 71.7
d 1.816, rel. 14.5
d 1.643, rel. 34.6
d 1.573, rel. 24.6
d 1.250, rel. 13.8
d 1.218, rel. 31.7